Starting from a crystal structure in the Materials Project, relaxed with PBE, the X-ray diffraction stick pattern of ErBeNF6 was computed for Cu Kα X-rays.
No peak broadening, texture or thermal motion is included.

Most intense lines, 10 to 90 degrees two-theta, by intensity:
2θ 20.05, I = 100, (0 1 1); 2θ 15.50, I = 61, (1 0 -1); 2θ 14.83, I = 51, (1 0 0); 2θ 27.99, I = 39, (1 1 1); 2θ 21.21, I = 38, (1 1 0); 2θ 29.09, I = 29, (1 1 -2)

```
data_ErBeNF6
_chemical_formula_sum 'Er2 Be2 N2 F12'
_symmetry_space_group_name_H-M 'P 1 21/m 1'
_symmetry_Int_Tables_number 11
_cell_length_a 6.490
_cell_length_b 5.874
_cell_length_c 7.326
_cell_angle_alpha 90.00
_cell_angle_beta 113.01
_cell_angle_gamma 90.00
loop_
_symmetry_equiv_pos_as_xyz
'x,y,z'
'-x,-y,-z'
'-x,y+1/2,-z'
'x,-y+1/2,z'
loop_
_atom_site_label
_atom_site_fract_x
_atom_site_fract_y
_atom_site_fract_z
Er1 0.130 0.250 0.219
Be1 0.280 0.750 0.543
N1 0.295 0.250 0.852
F1 0.090 0.750 0.623
F2 0.147 0.044 0.949
F3 0.256 0.537 0.409
F4 0.489 0.250 0.278
```



Starting from a crystal structure in the Materials Project, relaxed with PBE, the X-ray diffraction stick pattern of Mg14ZnW was computed for Cu Kα X-rays.
No peak broadening, texture or thermal motion is included.

Most intense lines, 10 to 90 degrees two-theta, by intensity:
2θ 37.90, I = 100, (2 0 2); 2θ 16.37, I = 59, (1 0 0); 2θ 24.38, I = 40, (1 0 2); 2θ 33.10, I = 31, (2 0 0); 2θ 36.35, I = 24, (0 0 4); 2θ 18.69, I = 24, (1 0 1)

```
data_Mg14ZnW
_chemical_formula_sum 'Mg14 Zn1 W1'
_symmetry_space_group_name_H-M 'P -6 m 2'
_symmetry_Int_Tables_number 187
_symmetry_space_group_name_Hall 'P -6 2'
_cell_length_a 6.2509
_cell_length_b 6.2509
_cell_length_c 9.8861
_cell_angle_alpha 90.00
_cell_angle_beta 90.00
_cell_angle_gamma 120.00
loop_
_atom_site_label
_atom_site_fract_x
_atom_site_fract_y
_atom_site_fract_z
Mg1 0.0000 0.0000 0.2492
Mg2 0.0141 0.5071 0.2458
Mg3 0.3332 0.1666 0.5000
Mg4 0.3345 0.1673 0.0000
Zn1 0.3333 0.6667 0.5000
W1 0.3333 0.6667 0.0000
```



Starting from a crystal structure in the Materials Project, relaxed with PBE, the X-ray diffraction stick pattern of Ba2Sr3CaMg2Si4O16 was computed for Cu Kα X-rays.
No peak broadening, texture or thermal motion is included.

Most intense lines, 10 to 90 degrees two-theta, by intensity:
2θ 32.30, I = 100, (0 2 0); 2θ 31.50, I = 78, (2 0 2); 2θ 22.41, I = 55, (1 1 1); 2θ 45.73, I = 50, (2 2 2); 2θ 39.66, I = 34, (1 0 4); 2θ 57.09, I = 28, (2 1 5)

```
data_Ba2Sr3CaMg2Si4O16
_chemical_formula_sum 'Ba2 Sr3 Ca1 Mg2 Si4 O16'
_symmetry_space_group_name_H-M 'P 1 m 1'
_symmetry_Int_Tables_number 6
_cell_length_a 7.046
_cell_length_b 5.545
_cell_length_c 9.600
_cell_angle_alpha 90.00
_cell_angle_beta 90.00
_cell_angle_gamma 90.00
loop_
_symmetry_equiv_pos_as_xyz
'x,y,z'
'x,-y,z'
loop_
_atom_site_label
_atom_site_fract_x
_atom_site_fract_y
_atom_site_fract_z
Ba1 0.000 0.000 0.000
Ba2 0.000 0.500 0.499
Sr1 0.337 0.000 0.666
Sr2 0.661 0.000 0.332
Sr3 0.661 0.500 0.834
Ca1 0.331 0.500 0.166
Mg1 0.499 0.000 0.001
Mg2 0.499 0.500 0.498
Si1 0.228 0.000 0.331
Si2 0.228 0.500 0.835
Si3 0.770 0.000 0.666
Si4 0.772 0.500 0.166
O1 0.000 0.000 0.333
O2 0.000 0.500 0.833
O3 0.004 0.500 0.166
O4 0.322 0.000 0.173
O5 0.322 0.239 0.409
O6 0.322 0.264 0.915
O7 0.322 0.500 0.676
O8 0.676 0.000 0.825
O9 0.676 0.238 0.587
O10 0.677 0.263 0.087
O11 0.677 0.500 0.324
O12 0.999 0.000 0.666
```



Starting from a crystal structure in the Materials Project, relaxed with PBE, the X-ray diffraction stick pattern of YMg14Cr was computed for Cu Kα X-rays.
No peak broadening, texture or thermal motion is included.

Most intense lines, 10 to 90 degrees two-theta, by intensity:
2θ 36.66, I = 100, (2 0 2); 2θ 32.15, I = 26, (2 0 0); 2θ 34.72, I = 25, (0 0 4); 2θ 15.91, I = 19, (1 0 0); 2θ 68.78, I = 19, (2 2 4); 2θ 63.51, I = 18, (2 0 6)

```
data_YMg14Cr
_chemical_formula_sum 'Y1 Mg14 Cr1'
_symmetry_space_group_name_H-M 'P -6 m 2'
_symmetry_Int_Tables_number 187
_symmetry_space_group_name_Hall 'P -6 2'
_cell_length_a 6.4302
_cell_length_b 6.4302
_cell_length_c 10.3357
_cell_angle_alpha 90.00
_cell_angle_beta 90.00
_cell_angle_gamma 120.00
loop_
_atom_site_label
_atom_site_fract_x
_atom_site_fract_y
_atom_site_fract_z
Y1 0.0000 0.0000 0.0000
Mg1 0.9996 0.4998 0.5000
Mg2 0.0096 0.5048 0.0000
Mg3 0.1649 0.3298 0.2582
Mg4 0.6667 0.3333 0.2454
Cr1 0.0000 0.0000 0.5000
```



Starting from a crystal structure in the Materials Project, relaxed with PBE, the X-ray diffraction stick pattern of GdBi3 was computed for Cu Kα X-rays.
No peak broadening, texture or thermal motion is included.

Most intense lines, 10 to 90 degrees two-theta, by intensity:
2θ 33.69, I = 100, (2 0 1); 2θ 29.27, I = 32, (0 0 2); 2θ 54.78, I = 26, (2 0 3); 2θ 62.34, I = 23, (2 2 2); 2θ 30.23, I = 22, (2 0 0); 2θ 53.70, I = 18, (2 2 0)

```
data_GdBi3
_chemical_formula_sum 'Gd2 Bi6'
_symmetry_space_group_name_H-M 'P 63/m m c'
_symmetry_Int_Tables_number 194
_symmetry_space_group_name_Hall '-P 6c 2c'
_cell_length_a 6.8275
_cell_length_b 6.8275
_cell_length_c 6.1015
_cell_angle_alpha 90.00
_cell_angle_beta 90.00
_cell_angle_gamma 120.00
loop_
_atom_site_label
_atom_site_fract_x
_atom_site_fract_y
_atom_site_fract_z
Gd1 0.3333 0.6667 0.2500
Bi1 0.1716 0.3432 0.7500
```



Starting from a crystal structure in the Materials Project, relaxed with PBE, the X-ray diffraction stick pattern of ScGaCu was computed for Cu Kα X-rays.
No peak broadening, texture or thermal motion is included.

Most intense lines, 10 to 90 degrees two-theta, by intensity:
2θ 42.53, I = 100, (3 1 0); 2θ 37.02, I = 76, (4 0 -2); 2θ 36.78, I = 57, (1 1 -2); 2θ 42.69, I = 52, (0 2 0); 2θ 27.39, I = 34, (2 0 -2); 2θ 36.60, I = 25, (0 0 2)

```
data_ScGaCu
_chemical_formula_sum 'Sc4 Ga4 Cu4'
_symmetry_space_group_name_H-M 'C 1 2/m 1'
_symmetry_Int_Tables_number 12
_cell_length_a 9.779
_cell_length_b 4.236
_cell_length_c 6.514
_cell_angle_alpha 90.00
_cell_angle_beta 131.08
_cell_angle_gamma 90.00
loop_
_symmetry_equiv_pos_as_xyz
'x,y,z'
'-x,-y,-z'
'-x,y,-z'
'x,-y,z'
'x+1/2,y+1/2,z'
'-x+1/2,-y+1/2,-z'
'-x+1/2,y+1/2,-z'
'x+1/2,-y+1/2,z'
loop_
_atom_site_label
_atom_site_fract_x
_atom_site_fract_y
_atom_site_fract_z
Sc1 0.027 0.000 0.282
Ga1 0.169 0.500 0.131
Cu1 0.166 0.500 0.701
```



Starting from a crystal structure in the Materials Project, relaxed with PBE, the X-ray diffraction stick pattern of ZrMnSi was computed for Cu Kα X-rays.
No peak broadening, texture or thermal motion is included.

Most intense lines, 10 to 90 degrees two-theta, by intensity:
2θ 36.44, I = 100, (1 1 2); 2θ 38.41, I = 68, (2 1 1); 2θ 37.84, I = 33, (1 0 3); 2θ 49.22, I = 24, (0 2 0); 2θ 43.08, I = 22, (0 1 3); 2θ 42.81, I = 18, (3 0 1)

```
data_ZrMnSi
_chemical_formula_sum 'Zr4 Mn4 Si4'
_symmetry_space_group_name_H-M 'P n m a'
_symmetry_Int_Tables_number 62
_cell_length_a 6.594
_cell_length_b 3.702
_cell_length_c 7.648
_cell_angle_alpha 90.00
_cell_angle_beta 90.00
_cell_angle_gamma 90.00
loop_
_symmetry_equiv_pos_as_xyz
'x,y,z'
'-x,-y,-z'
'-x+1/2,-y,z+1/2'
'x+1/2,y,-z+1/2'
'x+1/2,-y+1/2,-z+1/2'
'-x+1/2,y+1/2,z+1/2'
'-x,y+1/2,-z'
'x,-y+1/2,z'
loop_
_atom_site_label
_atom_site_fract_x
_atom_site_fract_y
_atom_site_fract_z
Zr1 0.026 0.250 0.180
Mn1 0.139 0.250 0.565
Si1 0.226 0.750 0.379
```



Starting from a crystal structure in the Materials Project, relaxed with PBE, the X-ray diffraction stick pattern of CaAl2H4Pb2O4F6 was computed for Cu Kα X-rays.
No peak broadening, texture or thermal motion is included.

Most intense lines, 10 to 90 degrees two-theta, by intensity:
2θ 13.24, I = 100, (0 1 0); 2θ 12.84, I = 55, (0 0 1); 2θ 23.22, I = 36, (0 2 -1); 2θ 24.46, I = 35, (1 1 0); 2θ 19.78, I = 32, (1 0 -1); 2θ 26.53, I = 30, (0 2 -2)

```
data_CaAl2H4Pb2O4F6
_chemical_formula_sum 'Ca1 Al2 H4 Pb2 O4 F6'
_symmetry_space_group_name_H-M 'P -1'
_symmetry_Int_Tables_number 2
_cell_length_a 5.138
_cell_length_b 7.735
_cell_length_c 7.961
_cell_angle_alpha 117.90
_cell_angle_beta 96.38
_cell_angle_gamma 97.84
loop_
_symmetry_equiv_pos_as_xyz
'x,y,z'
'-x,-y,-z'
loop_
_atom_site_label
_atom_site_fract_x
_atom_site_fract_y
_atom_site_fract_z
Ca1 0.000 0.000 0.000
Al1 0.478 0.701 0.644
H1 0.120 0.367 0.250
H2 0.134 0.365 0.541
Pb1 0.300 0.608 0.121
O1 0.258 0.325 0.172
O2 0.318 0.425 0.547
F1 0.237 0.725 0.472
F2 0.273 0.794 0.827
F3 0.309 0.047 0.260
```



Starting from a crystal structure in the Materials Project, relaxed with PBE, the X-ray diffraction stick pattern of BaCuO2 was computed for Cu Kα X-rays.
No peak broadening, texture or thermal motion is included.

Most intense lines, 10 to 90 degrees two-theta, by intensity:
2θ 29.33, I = 100, (1 1 1); 2θ 36.59, I = 73, (1 3 1); 2θ 44.05, I = 41, (0 4 2); 2θ 30.43, I = 32, (0 4 0); 2θ 48.29, I = 30, (2 0 0); 2θ 31.08, I = 30, (0 0 2)

```
data_BaCuO2
_chemical_formula_sum 'Ba4 Cu4 O8'
_symmetry_space_group_name_H-M 'P 1 21 1'
_symmetry_Int_Tables_number 4
_cell_length_a 3.769
_cell_length_b 11.750
_cell_length_c 5.755
_cell_angle_alpha 90.00
_cell_angle_beta 90.02
_cell_angle_gamma 90.00
loop_
_symmetry_equiv_pos_as_xyz
'x,y,z'
'-x,y+1/2,-z'
loop_
_atom_site_label
_atom_site_fract_x
_atom_site_fract_y
_atom_site_fract_z
Ba1 0.005 0.000 0.276
Ba2 0.006 0.276 0.224
Cu1 0.485 0.762 0.264
Cu2 0.486 0.514 0.236
O1 0.470 0.635 0.479
O2 0.472 0.640 0.021
O3 0.499 0.887 0.524
O4 0.500 0.389 0.977
```